Simulated powder XRD pattern of LiAl6Ni for copper Kα, from a structure optimized by DFT (GGA-PBE).
No peak broadening, texture or thermal motion is included.

Crystal structure
abc: 6.2850 10.1352 5.1412
angles: 90.00 124.26 90.00
Space group C2/m (No. 12)
Unique sites:
Li: 0.0000 0.0000 0.0000
Al: 0.2404 0.2930 0.7474
Al: 0.2442 0.5000 0.2831
Ni: 0.0000 0.5000 0.5000

Largest 10 diffraction maxima, in order of rising 2θ, 2θ from 15° to 90°:
19.20 deg, d 4.623, I 79.8, hkl 1 1 0
20.09 deg, d 4.421, I 37.7, hkl 1 1 -1
20.91 deg, d 4.249, I 43.1, hkl 0 0 1
27.39 deg, d 3.256, I 40.0, hkl 0 2 1
35.13 deg, d 2.555, I 37.8, hkl 1 1 1
35.43 deg, d 2.534, I 63.0, hkl 0 4 0
36.59 deg, d 2.456, I 100.0, hkl 2 0 -2
43.50 deg, d 2.080, I 91.5, hkl 1 3 1
51.84 deg, d 1.764, I 37.6, hkl 2 4 -2
52.02 deg, d 1.758, I 51.8, hkl 3 3 -1

Simulated powder XRD pattern of MgMo for copper Kα, from a structure optimized by DFT (GGA-PBE).
No peak broadening, texture or thermal motion is included.

Crystal structure
abc: 9.3767 2.7264 5.4224
angles: 90.00 92.95 90.00
Space group C2/m (No. 12)
Unique sites:
Mg: 0.1238 0.0000 0.3770
Mo: 0.1218 0.5000 0.8960

Largest 10 diffraction maxima, in order of rising 2θ, 2θ from 15° to 90°:
16.37 deg, d 5.415, I 66.3, hkl 0 0 1
25.79 deg, d 3.455, I 12.6, hkl 2 0 1
34.26 deg, d 2.618, I 16.6, hkl 1 1 0
37.50 deg, d 2.398, I 33.4, hkl 2 0 -2
38.42 deg, d 2.343, I 100.0, hkl 4 0 0
39.29 deg, d 2.293, I 30.3, hkl 2 0 2
46.78 deg, d 1.942, I 36.4, hkl 3 1 -1
62.03 deg, d 1.496, I 13.6, hkl 1 1 -3
63.35 deg, d 1.468, I 14.8, hkl 5 1 1
81.20 deg, d 1.185, I 13.6, hkl 7 1 -1